(1)
Structure and simulated X-ray powder pattern of Cs6MgHg4 (DFT lattice parameters and positions (GGA-PBE); Cu Kα (weighted mean of Kα1 and Kα2)).
Neutral-atom scattering factors, no anomalous dispersion.

Most intense lines, 5° ≤ 2θ ≤ 70°, low angle first:
Position (°2θ)	Rel. int.	hkl
19.14	376	2 0 1
24.02	872	2 1 1
25.32	1000	2 0 2
26.80	849	3 0 1
28.96	611	2 2 0
29.23	370	2 1 2
29.87	325	1 0 3
33.29	241	2 0 3
39.87	216	4 1 1
43.45	246	5 0 1
47.19	407	3 2 3
54.56	224	5 2 1

Structure:
```
Cs6MgHg4
1.0
12.3311 0.0000 0.0000
-6.1655 10.6790 0.0000
0.0000 0.0000 9.3483
Cs Mg Hg
12 2 8
Direct
0.0639 0.5320 0.0000
0.1333 0.2666 0.3160
0.1333 0.8667 0.3160
0.2666 0.1333 0.8160
0.4680 0.5320 0.0000
0.4680 0.9361 0.0000
0.5320 0.0639 0.5000
0.5320 0.4680 0.5000
0.7334 0.8667 0.3160
0.8667 0.1333 0.8160
0.8667 0.7334 0.8160
0.9361 0.4680 0.5000
0.3333 0.6667 0.6184
0.6667 0.3333 0.1184
0.2014 0.4028 0.7070
0.2014 0.7986 0.7070
0.3333 0.6667 0.3020
0.4028 0.2014 0.2070
0.5972 0.7986 0.7070
0.6667 0.3333 0.8020
0.7986 0.2014 0.2070
0.7986 0.5972 0.2070
```

=====

(2)
Structure and simulated X-ray powder pattern of TiH3Rh3 (DFT lattice parameters and positions (GGA-PBE); Cu Kα (weighted mean of Kα1 and Kα2)).
Neutral-atom scattering factors, no anomalous dispersion.

Most intense lines, 5° ≤ 2θ ≤ 70°, low angle first:
Position (°2θ)	Rel. int.	hkl
22.23	78	1 0 0
31.64	73	1 1 0
39.01	1000	1 1 1
45.36	503	2 0 0
51.07	37	2 1 0
56.35	30	2 1 1
66.08	313	2 2 0

Structure:
```
TiH3Rh3
1.0
3.9991 0.0000 0.0000
0.0000 3.9991 0.0000
0.0000 0.0000 3.9991
Ti H Rh
1 3 3
Direct
0.0000 0.0000 0.0000
0.0000 0.0000 0.5000
0.0000 0.5000 0.0000
0.5000 0.0000 0.0000
0.0000 0.5000 0.5000
0.5000 0.0000 0.5000
0.5000 0.5000 0.0000
```

=====

(3)
Structure and simulated X-ray powder pattern of LaPm6Pr (DFT lattice parameters and positions (GGA-PBE); Cu Kα (weighted mean of Kα1 and Kα2)).
Neutral-atom scattering factors, no anomalous dispersion.

Most intense lines, 5° ≤ 2θ ≤ 70°, low angle first:
Position (°2θ)	Rel. int.	hkl
29.80	1000	1 1 2
34.55	507	2 0 0
49.66	364	2 2 0
59.00	434	3 1 2
61.91	125	2 2 4

Structure:
```
LaPm6Pr
1.0
5.1915 0.0000 0.0000
0.0000 5.1915 0.0000
0.0000 0.0000 10.3869
La Pm Pr
1 6 1
Direct
0.0000 0.0000 0.0000
0.0000 0.5000 0.2510
0.0000 0.5000 0.7490
0.5000 0.0000 0.2510
0.5000 0.0000 0.7490
0.5000 0.5000 0.0000
0.5000 0.5000 0.5000
0.0000 0.0000 0.5000
```

=====

(4)
Structure and simulated X-ray powder pattern of Ca2TlHg5 (DFT lattice parameters and positions (GGA-PBE); Cu Kα (weighted mean of Kα1 and Kα2)).
Neutral-atom scattering factors, no anomalous dispersion.

Most intense lines, 5° ≤ 2θ ≤ 70°, low angle first:
Position (°2θ)	Rel. int.	hkl
18.68	115	1 2 0
26.80	100	1 2 1
32.87	1000	0 4 1
37.88	340	2 4 0
38.65	164	0 0 2
54.58	57	4 0 0
54.72	60	0 8 0
55.23	230	2 4 2
65.26	273	2 8 1
66.30	135	0 4 3
68.87	61	4 0 2
68.99	60	0 8 2

Structure:
```
Ca2TlHg5
1.0
6.7255 0.0000 0.0000
0.0000 13.4193 0.0000
0.0000 0.0000 4.6597
Ca Tl Hg
4 2 10
Direct
0.2363 0.1289 0.0000
0.2637 0.6289 0.0000
0.7363 0.3711 0.0000
0.7637 0.8711 0.0000
0.0000 0.5000 0.5000
0.5000 0.0000 0.5000
0.0000 0.0000 0.5000
0.0153 0.7515 0.5000
0.2440 0.3762 0.0000
0.2560 0.8762 0.0000
0.4847 0.2515 0.5000
0.5000 0.5000 0.5000
0.5153 0.7485 0.5000
0.7440 0.1238 0.0000
0.7560 0.6238 0.0000
0.9847 0.2485 0.5000
```